Computed PXRD pattern of GdHo2Tl2Cd4 for Cu Kα (λ = 1.5418 Å), from the GGA-PBE geometry in OQMD.

Structural model:
abc: 4.570 7.571 7.571
angles: 120.30 90.00 90.00
Fractional positions:
Gd1 0.000 0.000 0.000
Ho1 0.000 0.146 0.573
Ho2 0.000 0.573 0.146
Tl1 0.500 0.241 0.905
Tl2 0.500 0.905 0.241
Cd1 0.000 0.570 0.570
Cd2 0.500 0.332 0.332
Cd3 0.500 0.573 0.812
Cd4 0.500 0.812 0.573

Main lines, low angle first (2θ from 10° to 80°):
two_theta  Rel. int.
30.70  100.0
33.61  41.9
33.72  86.6
36.25  34.3
39.43  40.8
41.45  40.2
54.64  20.8
65.32  21.5